# 1
Structure and calculated XRD peak list of Ho2TmMg2 (a crystal structure in Alexandria, relaxed with GGA-PBE; copper Kα).

Atomic structure:
Lattice parameters (Å, degrees): 13.9751 13.9751 5.3888 90.00 90.00 164.81
Fractional coordinates of all 10 atoms:
Ho 0.0436 0.9564 0.7500
Ho 0.2370 0.7630 0.7500
Ho 0.7630 0.2370 0.2500
Ho 0.9564 0.0436 0.2500
Tm 0.1527 0.8473 0.2500
Tm 0.8473 0.1527 0.7500
Mg 0.3603 0.6397 0.2500
Mg 0.4451 0.5549 0.7500
Mg 0.5549 0.4451 0.2500
Mg 0.6397 0.3603 0.7500

Top 10 peaks for 2θ from 5° to 70°, in order of rising 2θ:
| d_spacing | 2θ/deg | I (rel.) |
| --- | --- | --- |
| 13.852 | 6.4 | 15 |
| 4.253 | 20.9 | 16 |
| 3.663 | 24.3 | 21 |
| 3.506 | 25.4 | 28 |
| 2.770 | 32.3 | 22 |
| 2.694 | 33.3 | 28 |
| 2.670 | 33.6 | 100 |
| 1.932 | 47.0 | 16 |
| 1.648 | 55.8 | 13 |
| 1.551 | 59.6 | 19 |

***

# 2
Structure and calculated XRD peak list of Na6B7C5 (a crystal structure in Alexandria, relaxed with GGA-PBE; copper Kα).

Atomic structure:
Lattice parameters (Å, degrees): 8.4980 7.6297 7.6297 21.25 90.00 90.00
Fractional coordinates of all 18 atoms:
Na 0.2454 0.0000 0.0000
Na 0.2474 0.3327 0.3327
Na 0.2489 0.6675 0.6675
Na 0.7511 0.6675 0.6675
Na 0.7526 0.3327 0.3327
Na 0.7546 0.0000 0.0000
B 0.0000 0.1106 0.1106
B 0.0000 0.4439 0.4439
B 0.0000 0.7770 0.7770
B 0.5000 0.1167 0.1167
B 0.5000 0.2290 0.2290
B 0.5000 0.5427 0.5427
B 0.5000 0.8870 0.8870
C 0.0000 0.2219 0.2219
C 0.0000 0.5554 0.5554
C 0.0000 0.8886 0.8886
C 0.5000 0.4409 0.4409
C 0.5000 0.7821 0.7821

Top 10 peaks for 2θ from 5° to 70°, in order of rising 2θ:
| d_spacing | 2θ/deg | I (rel.) |
| --- | --- | --- |
| 4.249 | 20.9 | 1 |
| 2.500 | 35.9 | 7 |
| 2.452 | 36.7 | 12 |
| 2.154 | 41.9 | 36 |
| 2.124 | 42.6 | 100 |
| 1.619 | 56.9 | 4 |
| 1.606 | 57.4 | 7 |
| 1.434 | 65.1 | 12 |
| 1.407 | 66.5 | 6 |
| 1.359 | 69.1 | 1 |

***

# 3
Structure and calculated XRD peak list of Pm5Cd2Au2 (a crystal structure in Alexandria, relaxed with GGA-PBE; copper Kα).

Atomic structure:
Lattice parameters (Å, degrees): 8.9326 8.9326 8.6726 90.00 90.00 48.73
Fractional coordinates of all 18 atoms:
Pm 0.0000 0.0000 0.0000
Pm 0.0385 0.7007 0.6803
Pm 0.2007 0.5385 0.1803
Pm 0.2993 0.9615 0.6803
Pm 0.4615 0.7993 0.1803
Pm 0.5000 0.5000 0.5000
Pm 0.5385 0.2007 0.8197
Pm 0.7007 0.0385 0.3197
Pm 0.7993 0.4615 0.8197
Pm 0.9615 0.2993 0.3197
Cd 0.2127 0.2127 0.0000
Cd 0.2873 0.2873 0.5000
Cd 0.7127 0.7127 0.5000
Cd 0.7873 0.7873 0.0000
Au 0.1238 0.8762 0.3709
Au 0.3762 0.6238 0.8709
Au 0.6238 0.3762 0.1291
Au 0.8762 0.1238 0.6291

Top 10 peaks for 2θ from 5° to 70°, in order of rising 2θ:
| d_spacing | 2θ/deg | I (rel.) |
| --- | --- | --- |
| 8.137 | 10.9 | 57 |
| 3.130 | 28.5 | 30 |
| 3.078 | 29.0 | 98 |
| 2.967 | 30.1 | 53 |
| 2.810 | 31.8 | 50 |
| 2.731 | 32.8 | 37 |
| 2.655 | 33.8 | 72 |
| 2.605 | 34.4 | 100 |
| 2.455 | 36.6 | 40 |
| 2.339 | 38.5 | 43 |

***

# 4
Structure and calculated XRD peak list of Pu3Zn2Au9 (a crystal structure in Alexandria, relaxed with GGA-PBE; copper Kα).

Atomic structure:
Lattice parameters (Å, degrees): 8.6221 8.6221 8.6221 150.72 105.49 82.00
Fractional coordinates of all 14 atoms:
Pu 0.0000 0.0000 0.0000
Pu 0.2931 0.2931 0.0000
Pu 0.7069 0.7069 0.0000
Zn 0.3160 0.5000 0.8160
Zn 0.6840 0.5000 0.1840
Au 0.0171 0.6476 0.3695
Au 0.1587 0.8641 0.2946
Au 0.2781 0.6476 0.6305
Au 0.4305 0.1359 0.2946
Au 0.5000 0.0000 0.5000
Au 0.5695 0.8641 0.7054
Au 0.7219 0.3524 0.3695
Au 0.8413 0.1359 0.7054
Au 0.9829 0.3524 0.6305

Top 10 peaks for 2θ from 5° to 70°, in order of rising 2θ:
| d_spacing | 2θ/deg | I (rel.) |
| --- | --- | --- |
| 2.761 | 32.4 | 46 |
| 2.719 | 32.9 | 80 |
| 2.649 | 33.8 | 100 |
| 2.529 | 35.5 | 49 |
| 2.509 | 35.8 | 26 |
| 2.207 | 40.9 | 33 |
| 2.179 | 41.4 | 53 |
| 2.086 | 43.4 | 28 |
| 1.711 | 53.6 | 27 |
| 1.430 | 65.2 | 32 |

***

# 5
Structure and calculated XRD peak list of SmTm5Cd6 (a crystal structure in Alexandria, relaxed with GGA-PBE; copper Kα).

Atomic structure:
Lattice parameters (Å, degrees): 8.3118 8.3118 7.4548 90.00 90.00 143.26
Fractional coordinates of all 12 atoms:
Sm 0.0000 0.0000 0.0000
Tm 0.0000 0.0000 0.5000
Tm 0.3317 0.6683 0.0000
Tm 0.3354 0.6646 0.5000
Tm 0.6646 0.3354 0.5000
Tm 0.6683 0.3317 0.0000
Cd 0.1690 0.8310 0.2554
Cd 0.1690 0.8310 0.7446
Cd 0.5000 0.5000 0.2547
Cd 0.5000 0.5000 0.7453
Cd 0.8310 0.1690 0.2554
Cd 0.8310 0.1690 0.7446

Top 10 peaks for 2θ from 5° to 70°, in order of rising 2θ:
| d_spacing | 2θ/deg | I (rel.) |
| --- | --- | --- |
| 3.727 | 23.9 | 2 |
| 3.712 | 24.0 | 3 |
| 2.630 | 34.1 | 100 |
| 2.620 | 34.2 | 20 |
| 1.864 | 48.9 | 7 |
| 1.856 | 49.1 | 14 |
| 1.662 | 55.3 | 1 |
| 1.520 | 61.0 | 15 |
| 1.518 | 61.0 | 14 |
| 1.515 | 61.2 | 14 |

***

# 6
Structure and calculated XRD peak list of KNdAu2I6 (a crystal structure in Alexandria, relaxed with GGA-PBE; copper Kα).

Atomic structure:
Lattice parameters (Å, degrees): 7.9781 7.9817 9.5224 65.27 65.29 60.03
Fractional coordinates of all 10 atoms:
K 0.0000 0.0000 0.0000
Nd 0.4998 0.5004 0.5000
Au 0.2371 0.2372 0.2878
Au 0.7619 0.7634 0.7122
I 0.1081 0.7397 0.7251
I 0.2603 0.5728 0.2747
I 0.4269 0.1088 0.7258
I 0.5729 0.8921 0.2750
I 0.7398 0.4274 0.7251
I 0.8913 0.2607 0.2748

Top 10 peaks for 2θ from 5° to 70°, in order of rising 2θ:
| d_spacing | 2θ/deg | I (rel.) |
| --- | --- | --- |
| 8.338 | 10.6 | 25 |
| 4.637 | 19.1 | 64 |
| 4.169 | 21.3 | 43 |
| 3.600 | 24.7 | 100 |
| 3.025 | 29.5 | 25 |
| 2.411 | 37.3 | 28 |
| 2.304 | 39.1 | 60 |
| 2.281 | 39.5 | 22 |
| 2.017 | 45.0 | 35 |
| 1.546 | 59.8 | 20 |

***

# 7
Structure and calculated XRD peak list of MgPaZn3 (a crystal structure in Alexandria, relaxed with GGA-PBE; copper Kα).

Atomic structure:
Lattice parameters (Å, degrees): 13.4362 13.4362 4.5618 90.00 90.00 166.68
Fractional coordinates of all 10 atoms:
Mg 0.2166 0.7834 0.7500
Mg 0.7834 0.2166 0.2500
Pa 0.0748 0.9252 0.2500
Pa 0.9252 0.0748 0.7500
Zn 0.3225 0.6775 0.7500
Zn 0.3732 0.6268 0.2500
Zn 0.4748 0.5252 0.2500
Zn 0.5252 0.4748 0.7500
Zn 0.6268 0.3732 0.7500
Zn 0.6775 0.3225 0.2500

Top 10 peaks for 2θ from 5° to 70°, in order of rising 2θ:
| d_spacing | 2θ/deg | I (rel.) |
| --- | --- | --- |
| 13.345 | 6.6 | 100 |
| 4.317 | 20.6 | 19 |
| 3.766 | 23.6 | 12 |
| 2.692 | 33.3 | 19 |
| 2.473 | 36.3 | 59 |
| 2.414 | 37.3 | 27 |
| 2.318 | 38.8 | 16 |
| 2.304 | 39.1 | 44 |
| 2.281 | 39.5 | 22 |
| 1.658 | 55.4 | 17 |

***

# 8
Structure and calculated XRD peak list of Zn3Mo3C (a crystal structure in Alexandria, relaxed with GGA-PBE; copper Kα).

Atomic structure:
Lattice parameters (Å, degrees): 8.0704 8.0704 8.0704 60.00 60.00 60.00
Fractional coordinates of all 28 atoms:
Zn 0.0000 0.0000 0.0000
Zn 0.0000 0.0000 0.5000
Zn 0.0000 0.5000 0.0000
Zn 0.1304 0.7899 0.7899
Zn 0.2101 0.2101 0.2101
Zn 0.2101 0.2101 0.8696
Zn 0.2101 0.8696 0.2101
Zn 0.5000 0.0000 0.0000
Zn 0.7899 0.1304 0.7899
Zn 0.7899 0.7899 0.1304
Zn 0.7899 0.7899 0.7899
Zn 0.8696 0.2101 0.2101
Mo 0.1868 0.1868 0.5632
Mo 0.1868 0.5632 0.1868
Mo 0.1868 0.5632 0.5632
Mo 0.4368 0.4368 0.8132
Mo 0.4368 0.8132 0.4368
Mo 0.4368 0.8132 0.8132
Mo 0.5632 0.1868 0.1868
Mo 0.5632 0.1868 0.5632
Mo 0.5632 0.5632 0.1868
Mo 0.8132 0.4368 0.4368
Mo 0.8132 0.4368 0.8132
Mo 0.8132 0.8132 0.4368
C 0.0000 0.5000 0.5000
C 0.5000 0.0000 0.5000
C 0.5000 0.5000 0.0000
C 0.5000 0.5000 0.5000

Top 10 peaks for 2θ from 5° to 70°, in order of rising 2θ:
| d_spacing | 2θ/deg | I (rel.) |
| --- | --- | --- |
| 2.618 | 34.2 | 15 |
| 2.330 | 38.6 | 39 |
| 2.196 | 41.1 | 100 |
| 2.018 | 44.9 | 26 |
| 1.902 | 47.8 | 7 |
| 1.721 | 53.2 | 3 |
| 1.598 | 57.7 | 4 |
| 1.486 | 62.5 | 6 |
| 1.394 | 67.1 | 5 |
| 1.345 | 69.9 | 35 |

***

# 9
Structure and calculated XRD peak list of BaIn9Ag2 (a crystal structure in Alexandria, relaxed with GGA-PBE; copper Kα).

Atomic structure:
Lattice parameters (Å, degrees): 9.4685 9.4685 4.3460 90.00 90.00 120.00
Fractional coordinates of all 12 atoms:
Ba 0.0000 0.0000 0.0000
In 0.0000 0.5000 0.0000
In 0.2005 0.4010 0.5000
In 0.2005 0.7995 0.5000
In 0.4010 0.2005 0.5000
In 0.5000 0.0000 0.0000
In 0.5000 0.5000 0.0000
In 0.5990 0.7995 0.5000
In 0.7995 0.2005 0.5000
In 0.7995 0.5990 0.5000
Ag 0.3333 0.6667 0.0000
Ag 0.6667 0.3333 0.0000

Top 10 peaks for 2θ from 5° to 70°, in order of rising 2θ:
| d_spacing | 2θ/deg | I (rel.) |
| --- | --- | --- |
| 8.200 | 10.8 | 25 |
| 3.202 | 27.9 | 39 |
| 3.099 | 28.8 | 19 |
| 2.982 | 30.0 | 100 |
| 2.523 | 35.6 | 64 |
| 2.367 | 38.0 | 67 |
| 2.314 | 38.9 | 32 |
| 2.173 | 41.6 | 29 |
| 1.601 | 57.6 | 38 |
| 1.534 | 60.3 | 18 |

***

# 10
Structure and calculated XRD peak list of LiTl2VBr6 (a crystal structure in Alexandria, relaxed with GGA-PBE; copper Kα).

Atomic structure:
Lattice parameters (Å, degrees): 7.3666 7.3669 7.3749 61.24 61.16 61.29
Fractional coordinates of all 10 atoms:
Li 0.0000 0.0000 0.0000
Tl 0.2509 0.2522 0.2522
Tl 0.7507 0.7493 0.7494
V 0.5000 0.5000 0.5000
Br 0.2065 0.7334 0.3134
Br 0.2625 0.6855 0.7946
Br 0.3151 0.2043 0.7336
Br 0.6849 0.7956 0.2662
Br 0.7372 0.3144 0.2053
Br 0.7934 0.2665 0.6866

Top 10 peaks for 2θ from 5° to 70°, in order of rising 2θ:
| d_spacing | 2θ/deg | I (rel.) |
| --- | --- | --- |
| 5.258 | 16.9 | 23 |
| 3.753 | 23.7 | 22 |
| 3.683 | 24.2 | 26 |
| 3.176 | 28.1 | 18 |
| 3.055 | 29.2 | 100 |
| 2.980 | 30.0 | 38 |
| 2.629 | 34.1 | 87 |
| 2.153 | 42.0 | 16 |
| 1.876 | 48.5 | 23 |
| 1.842 | 49.5 | 30 |

***

# 11
Structure and calculated XRD peak list of RbYZr (a crystal structure in Alexandria, relaxed with GGA-PBE; copper Kα).

Atomic structure:
Lattice parameters (Å, degrees): 3.5227 5.5146 13.4893 93.56 90.29 90.23
Fractional coordinates of all 6 atoms:
Rb 0.2310 0.2300 0.3536
Rb 0.7690 0.7700 0.6464
Y 0.4894 0.3158 0.8852
Y 0.5106 0.6842 0.1148
Zr 0.0094 0.8109 0.9224
Zr 0.9906 0.1891 0.0776

Top 10 peaks for 2θ from 5° to 70°, in order of rising 2θ:
| d_spacing | 2θ/deg | I (rel.) |
| --- | --- | --- |
| 13.463 | 6.6 | 100 |
| 4.137 | 21.5 | 8 |
| 3.366 | 26.5 | 17 |
| 2.973 | 30.1 | 8 |
| 2.916 | 30.7 | 18 |
| 2.750 | 32.6 | 26 |
| 2.692 | 33.3 | 11 |
| 2.513 | 35.7 | 10 |
| 2.430 | 37.0 | 12 |
| 2.198 | 41.1 | 15 |

***

# 12
Structure and calculated XRD peak list of Nd4GaNi3 (a crystal structure in Alexandria, relaxed with GGA-PBE; copper Kα).

Atomic structure:
Lattice parameters (Å, degrees): 3.9335 4.3658 10.7645 90.00 90.00 90.00
Fractional coordinates of all 8 atoms:
Nd 0.0000 0.0000 0.0000
Nd 0.0000 0.5000 0.2645
Nd 0.5000 0.0000 0.4780
Nd 0.5000 0.5000 0.7720
Ga 0.0000 0.0000 0.6945
Ni 0.0000 0.5000 0.5592
Ni 0.5000 0.0000 0.1995
Ni 0.5000 0.5000 0.0675

Top 10 peaks for 2θ from 5° to 70°, in order of rising 2θ:
| d_spacing | 2θ/deg | I (rel.) |
| --- | --- | --- |
| 3.391 | 26.3 | 35 |
| 2.820 | 31.7 | 100 |
| 2.691 | 33.3 | 22 |
| 2.651 | 33.8 | 46 |
| 2.291 | 39.3 | 20 |
| 2.266 | 39.8 | 50 |
| 2.183 | 41.4 | 28 |
| 1.967 | 46.2 | 21 |
| 1.685 | 54.5 | 24 |
| 1.461 | 63.7 | 15 |